The following is a theoretical powder diffraction line list of NdPu2Tl3. It was derived from a cell relaxed with PBE, using Cu Kα.
Peak positions follow from Bragg's law for the DFT cell and can differ from measured ones.

Most intense lines, 10 to 90 degrees two-theta, low angle first:
hkl 1 0 3, d 2.772, I 100; hkl 1 1 0, d 2.405, I 34; hkl 0 0 6, d 2.392, I 17; hkl 1 1 6, d 1.696, I 24; hkl 2 1 3, d 1.449, I 29; hkl 1 0 9, d 1.444, I 14; hkl 2 0 6, d 1.386, I 12; hkl 2 1 9, d 1.101, I 12

Atomic structure:
a = 3.400 Å, b = 3.400 Å, c = 14.352 Å
α = 90.00°, β = 90.00°, γ = 90.00°
Space group P4/mmm (No. 123)
Symmetry-distinct sites (fractional):
Nd (0.000, 0.000, 0.000) [1 per cell]
Pu (0.000, 0.000, 0.334) [2 per cell]
Tl (0.500, 0.500, 0.169) [2 per cell]
Tl (0.500, 0.500, 0.500) [1 per cell]